Entry 1:
Starting from the PBE geometry in Alexandria, the X-ray diffraction stick pattern of Ru5Pb was simulated for Cu Kα.
No peak broadening, texture or thermal motion is included.

Principal peaks in the range 10° ≤ 2θ ≤ 90°, in order of falling intensity:
d [Å]	I_rel
2.149	100
2.161	98
2.245	70
2.457	49
2.131	45
2.110	42
1.399	30
2.406	25
1.428	22
1.652	20

Cell and atoms:
```
12
Lattice="10.1366 0.0000 0.0000 0.0000 2.8568 0.0000 -1.7184 0.0000 6.3944" Properties=species:S:1:pos:R:3 pbc="T T T"
Ru 0.0000 0.0000 0.0000
Ru -0.4036 0.0000 3.7754
Ru 0.9785 1.4284 1.9360
Ru 0.4747 1.4284 6.0598
Ru 3.4312 0.0000 1.5998
Ru 5.0683 1.4284 0.0000
Ru 4.6647 1.4284 3.7754
Ru 6.0468 0.0000 1.9360
Ru 5.5430 0.0000 6.0598
Ru 8.4994 1.4284 1.5998
Pb 2.2739 0.0000 4.1860
Pb 7.3422 1.4284 4.1860
```

Entry 2:
Starting from the PBE geometry in Alexandria, the X-ray diffraction stick pattern of Ru3Pb4 was simulated for Cu Kα.
No peak broadening, texture or thermal motion is included.

Principal peaks in the range 10° ≤ 2θ ≤ 90°, in order of falling intensity:
d [Å]	I_rel
2.580	100
2.269	56
3.059	32
2.093	29
1.362	28
1.354	20
1.604	19
3.037	16
1.818	15
1.688	14

Cell and atoms:
```
14
Lattice="3.2085 0.0000 0.0000 0.0000 3.2085 0.0000 0.0000 0.0000 30.3692" Properties=species:S:1:pos:R:3 pbc="T T T"
Ru 0.0000 0.0000 0.0000
Ru 0.0000 0.0000 8.2713
Ru 0.0000 0.0000 22.0979
Ru 1.6043 1.6043 6.9133
Ru 1.6043 1.6043 15.1846
Ru 1.6043 1.6043 23.4559
Pb 0.0000 0.0000 4.9313
Pb 0.0000 0.0000 13.4017
Pb 0.0000 0.0000 16.9675
Pb 0.0000 0.0000 25.4379
Pb 1.6043 1.6043 1.7829
Pb 1.6043 1.6043 10.2533
Pb 1.6043 1.6043 20.1159
Pb 1.6043 1.6043 28.5863
```

Entry 3:
Starting from the PBE geometry in Alexandria, the X-ray diffraction stick pattern of Ru5Pb3 was simulated for Cu Kα.
No peak broadening, texture or thermal motion is included.

Principal peaks in the range 10° ≤ 2θ ≤ 90°, in order of falling intensity:
d [Å]	I_rel
2.515	100
2.422	71
2.832	70
2.074	58
2.369	53
2.199	52
2.700	42
2.665	40
2.686	40
2.727	40

Cell and atoms:
```
16
Lattice="4.7520 0.0000 0.0000 2.2728 8.1194 0.0000 1.7259 2.1206 8.2768" Properties=species:S:1:pos:R:3 pbc="T T T"
Ru 1.2391 2.5983 2.1486
Ru 3.0949 3.8852 7.9504
Ru 4.0496 6.3251 7.9671
Ru 3.3166 5.9137 1.3473
Ru 3.4389 3.5691 2.5364
Ru 5.3118 6.6708 5.7404
Ru 5.4342 4.3263 6.9295
Ru 4.7012 3.9149 0.3098
Ru 5.6559 6.3548 0.3265
Ru 7.5116 7.6417 6.1282
Pb 3.0231 4.7928 5.2571
Pb 3.6634 7.8955 3.4226
Pb 5.0643 9.3533 7.0147
Pb 3.6865 0.8866 1.2621
Pb 5.0873 2.3444 4.8543
Pb 5.7276 5.4472 3.0197
```

Entry 4:
Starting from the PBE geometry in Alexandria, the X-ray diffraction stick pattern of SbRuPb2 was simulated for Cu Kα.
No peak broadening, texture or thermal motion is included.

Principal peaks in the range 10° ≤ 2θ ≤ 90°, in order of falling intensity:
d [Å]	I_rel
2.481	100
3.191	84
2.754	48
1.487	46
2.397	42
2.130	42
2.138	31
4.098	26
1.595	24
1.689	23

Cell and atoms:
```
8
Lattice="3.3641 0.0000 0.0000 0.0000 4.2753 0.0000 0.0000 0.0000 14.3810" Properties=species:S:1:pos:R:3 pbc="T T T"
Sb 0.0000 0.0000 0.0000
Sb 1.6820 2.1376 7.1905
Ru 0.0000 0.0000 7.1905
Ru 1.6820 2.1376 0.0000
Pb 0.0000 2.1376 2.4889
Pb 0.0000 2.1376 11.8921
Pb 1.6820 0.0000 4.7016
Pb 1.6820 0.0000 9.6794
```